Entry 1:
Theoretical powder diffraction line list
Compound: CaNi3P4O14
Radiation: Cu Kα X-rays
Structure: a DFT-relaxed cell (GGA+U, Alexandria)
Peak positions follow from Bragg's law for the DFT cell and can differ from measured ones.

Structure:
Unit cell a=7.411 b=7.669 c=9.472 alpha=90.00 beta=111.96 gamma=90.00
Space group P2_1/c (No. 14)
One atom of each set of equivalent atoms:
Ca (0.000, 0.000, 0.000) (multiplicity 2)
Ni (0.315, 0.127, 0.475) (multiplicity 4)
Ni (0.500, 0.000, 0.000) (multiplicity 2)
P (0.098, 0.065, 0.703) (multiplicity 4)
P (0.381, 0.704, 0.192) (multiplicity 4)
O (0.107, 0.524, 0.804) (multiplicity 4)
O (0.121, 0.192, 0.588) (multiplicity 4)
O (0.175, 0.623, 0.175) (multiplicity 4)
O (0.227, 0.119, 0.870) (multiplicity 4)
O (0.331, 0.622, 0.607) (multiplicity 4)
O (0.471, 0.577, 0.112) (multiplicity 4)
O (0.492, 0.712, 0.364) (multiplicity 4)

Top 10 peaks for 5° ≤ 2θ ≤ 70°, in order of rising 2θ:
12.88 deg, rel. 34.2; 20.22 deg, rel. 20.4; 28.79 deg, rel. 52.2; 30.26 deg, rel. 100.0; 30.48 deg, rel. 29.9; 33.46 deg, rel. 31.6; 34.02 deg, rel. 25.7; 36.61 deg, rel. 34.6; 36.87 deg, rel. 34.0; 54.82 deg, rel. 20.7

---

Entry 2:
Theoretical powder diffraction line list
Compound: CaNiP2O7
Radiation: Cu Kα X-rays
Structure: a DFT-relaxed cell (GGA+U, Alexandria)
Peak positions follow from Bragg's law for the DFT cell and can differ from measured ones.

Structure:
Unit cell a=7.306 b=8.745 c=9.099 alpha=90.00 beta=116.48 gamma=90.00
Space group P2_1/c (No. 14)
One atom of each set of equivalent atoms:
Ca (0.234, 0.049, 0.390) (multiplicity 4)
Ni (0.270, 0.070, 0.882) (multiplicity 4)
P (0.027, 0.747, 0.465) (multiplicity 4)
P (0.457, 0.729, 0.267) (multiplicity 4)
O (0.035, 0.108, 0.644) (multiplicity 4)
O (0.060, 0.605, 0.383) (multiplicity 4)
O (0.113, 0.225, 0.953) (multiplicity 4)
O (0.244, 0.693, 0.107) (multiplicity 4)
O (0.388, 0.238, 0.304) (multiplicity 4)
O (0.447, 0.624, 0.853) (multiplicity 4)
O (0.485, 0.585, 0.374) (multiplicity 4)

Top 10 peaks for 5° ≤ 2θ ≤ 70°, in order of rising 2θ:
16.53 deg, rel. 15.5; 28.21 deg, rel. 53.3; 28.58 deg, rel. 100.0; 30.60 deg, rel. 71.9; 33.67 deg, rel. 23.9; 34.24 deg, rel. 31.0; 40.81 deg, rel. 25.5; 43.78 deg, rel. 12.5; 49.37 deg, rel. 15.4; 55.80 deg, rel. 18.6

---

Entry 3:
Theoretical powder diffraction line list
Compound: CaNiP2O7
Radiation: Cu Kα X-rays
Structure: a DFT-relaxed cell (GGA+U, Alexandria)
Peak positions follow from Bragg's law for the DFT cell and can differ from measured ones.

Structure:
Unit cell a=6.470 b=6.567 c=6.705 alpha=66.29 beta=87.26 gamma=82.51
Space group P-1 (No. 2)
One atom of each set of equivalent atoms:
Ca (0.144, 0.228, 0.327) (multiplicity 2)
Ni (0.353, 0.400, 0.724) (multiplicity 2)
P (0.143, 0.728, 0.252) (multiplicity 2)
P (0.374, 0.858, 0.832) (multiplicity 2)
O (0.028, 0.400, 0.779) (multiplicity 2)
O (0.068, 0.884, 0.362) (multiplicity 2)
O (0.222, 0.889, 0.020) (multiplicity 2)
O (0.274, 0.706, 0.753) (multiplicity 2)
O (0.331, 0.550, 0.367) (multiplicity 2)
O (0.375, 0.099, 0.662) (multiplicity 2)
O (0.411, 0.246, 0.061) (multiplicity 2)

Top 10 peaks for 5° ≤ 2θ ≤ 70°, in order of rising 2θ:
16.05 deg, rel. 27.7; 19.97 deg, rel. 21.7; 27.52 deg, rel. 45.9; 29.09 deg, rel. 80.3; 29.23 deg, rel. 100.0; 31.40 deg, rel. 78.0; 31.54 deg, rel. 77.0; 41.76 deg, rel. 18.5; 43.18 deg, rel. 25.5; 59.58 deg, rel. 19.4

---

Entry 4:
Theoretical powder diffraction line list
Compound: CaNiSnP2O9
Radiation: Cu Kα X-rays
Structure: a DFT-relaxed cell (GGA+U, Alexandria)
Peak positions follow from Bragg's law for the DFT cell and can differ from measured ones.

Structure:
Unit cell a=14.344 b=6.609 c=7.730 alpha=90.00 beta=90.00 gamma=90.00
Space group Pnma (No. 62)
One atom of each set of equivalent atoms:
Ca (0.209, 0.250, 0.080) (multiplicity 4)
Ni (0.000, 0.000, 0.000) (multiplicity 4)
Sn (0.118, 0.250, 0.652) (multiplicity 4)
P (0.067, 0.750, 0.647) (multiplicity 4)
P (0.188, 0.750, 0.118) (multiplicity 4)
O (0.002, 0.250, 0.504) (multiplicity 4)
O (0.017, 0.750, 0.822) (multiplicity 4)
O (0.063, 0.250, 0.885) (multiplicity 4)
O (0.130, 0.555, 0.106) (multiplicity 8)
O (0.136, 0.567, 0.629) (multiplicity 8)
O (0.231, 0.250, 0.475) (multiplicity 4)
O (0.248, 0.750, 0.289) (multiplicity 4)

Top 10 peaks for 5° ≤ 2θ ≤ 70°, in order of rising 2θ:
16.86 deg, rel. 74.5; 17.66 deg, rel. 38.4; 18.25 deg, rel. 33.6; 23.84 deg, rel. 100.0; 26.98 deg, rel. 42.7; 29.74 deg, rel. 31.6; 30.06 deg, rel. 46.4; 30.63 deg, rel. 31.9; 31.99 deg, rel. 29.0; 33.31 deg, rel. 31.7

---

Entry 5:
Theoretical powder diffraction line list
Compound: CaTiNiP2O9
Radiation: Cu Kα X-rays
Structure: a DFT-relaxed cell (GGA+U, Alexandria)
Peak positions follow from Bragg's law for the DFT cell and can differ from measured ones.

Structure:
Unit cell a=14.347 b=6.488 c=7.457 alpha=90.00 beta=90.00 gamma=90.00
Space group Pnma (No. 62)
One atom of each set of equivalent atoms:
Ca (0.219, 0.250, 0.113) (multiplicity 4)
Ti (0.118, 0.250, 0.654) (multiplicity 4)
Ni (0.000, 0.000, 0.000) (multiplicity 4)
P (0.064, 0.750, 0.645) (multiplicity 4)
P (0.191, 0.750, 0.105) (multiplicity 4)
O (0.011, 0.250, 0.501) (multiplicity 4)
O (0.017, 0.750, 0.830) (multiplicity 4)
O (0.061, 0.250, 0.861) (multiplicity 4)
O (0.130, 0.561, 0.625) (multiplicity 8)
O (0.132, 0.552, 0.105) (multiplicity 8)
O (0.235, 0.250, 0.452) (multiplicity 4)
O (0.244, 0.250, 0.777) (multiplicity 4)

Top 10 peaks for 5° ≤ 2θ ≤ 70°, in order of rising 2θ:
13.38 deg, rel. 40.0; 17.15 deg, rel. 32.1; 24.67 deg, rel. 100.0; 27.50 deg, rel. 29.3; 27.60 deg, rel. 31.7; 30.24 deg, rel. 22.8; 30.70 deg, rel. 47.1; 33.46 deg, rel. 36.7; 35.54 deg, rel. 32.6; 56.61 deg, rel. 26.3

---

Entry 6:
Theoretical powder diffraction line list
Compound: CaTiNiP3O12
Radiation: Cu Kα X-rays
Structure: a DFT-relaxed cell (GGA+U, Alexandria)
Peak positions follow from Bragg's law for the DFT cell and can differ from measured ones.

Structure:
Unit cell a=8.6515 b=8.6515 c=21.8688 alpha=90.00 beta=90.00 gamma=120.00
Space group R3c (No. 161, hexagonal axes)
One atom of each set of equivalent atoms:
Ca (0.0000, 0.0000, 0.0000) (multiplicity 6)
Ti (0.0000, 0.0000, 0.3499) (multiplicity 6)
Ni (0.0000, 0.0000, 0.1432) (multiplicity 6)
P (0.0442, 0.3764, 0.4128) (multiplicity 18)
O (0.0206, 0.2075, 0.6876) (multiplicity 18)
O (0.0313, 0.1898, 0.4136) (multiplicity 18)
O (0.1548, 0.4734, 0.4712) (multiplicity 18)
O (0.1630, 0.4784, 0.7479) (multiplicity 18)

Top 10 peaks for 5° ≤ 2θ ≤ 70°, in order of rising 2θ:
20.11 deg, rel. 16.7; 20.53 deg, rel. 62.3; 23.92 deg, rel. 100.0; 28.89 deg, rel. 19.4; 31.86 deg, rel. 15.5; 32.11 deg, rel. 68.0; 35.96 deg, rel. 27.7; 46.15 deg, rel. 20.4; 48.97 deg, rel. 24.6; 56.27 deg, rel. 19.2